Structure and calculated XRD peak list of YTm6Lu (the PBE geometry in OQMD; CuKα).
No peak broadening, texture or thermal motion is included.

Structural model:
Cell lengths 7.1267, 7.1267, 5.5453 Å; angles 90.00, 90.00, 120.00 degrees
Fractional coordinates of all 8 atoms:
Y  0.0000  0.0000  0.0000
Tm  0.3343  0.1671  0.5000
Tm  0.5004  0.0008  0.0000
Tm  0.5004  0.4996  0.0000
Tm  0.8329  0.1671  0.5000
Tm  0.8329  0.6657  0.5000
Tm  0.9992  0.4996  0.0000
Lu  0.3333  0.6667  0.5000

Most intense lines, 2θ from 5° to 70°, low angle first:
2theta, Rel. int.
28.93, 24.2
32.29, 23.9
33.22, 100.0
43.90, 15.7
51.28, 19.7
58.18, 20.3
61.91, 22.4
62.48, 16.4


Structure and calculated XRD peak list of Gd2Y2CI5 (the PBE geometry in OQMD; CuKα).
No peak broadening, texture or thermal motion is included.

Structural model:
Cell lengths 9.7671, 9.7671, 8.6520 Å; angles 102.46, 102.46, 23.57 degrees
Fractional coordinates of all 10 atoms:
Gd  0.1302  0.1302  0.0647
Gd  0.8698  0.8698  0.9353
Y  0.4996  0.4996  0.1889
Y  0.5004  0.5004  0.8111
C  0.0000  0.0000  0.0000
I  0.0000  0.0000  0.5000
I  0.3331  0.3331  0.1802
I  0.3371  0.3371  0.6582
I  0.6629  0.6629  0.3418
I  0.6669  0.6669  0.8198

Most intense lines, 2θ from 5° to 70°, low angle first:
2theta, Rel. int.
10.48, 22.6
28.72, 39.3
29.79, 22.6
30.48, 100.0
32.87, 29.4
42.28, 24.3
42.46, 23.9
45.47, 18.1


Structure and calculated XRD peak list of FeH4 (the PBE geometry in OQMD; CuKα).
No peak broadening, texture or thermal motion is included.

Structural model:
Cell lengths 4.4657, 4.4657, 4.4657 Å; angles 90.00, 90.00, 90.00 degrees
Fractional coordinates of all 20 atoms:
Fe  0.1047  0.1047  0.1047
Fe  0.3953  0.8953  0.6047
Fe  0.6047  0.3953  0.8953
Fe  0.8953  0.6047  0.3953
H  0.0733  0.9117  0.7484
H  0.0883  0.2484  0.4267
H  0.2030  0.7970  0.2970
H  0.2484  0.4267  0.0883
H  0.2516  0.5733  0.5883
H  0.2970  0.2030  0.7970
H  0.4117  0.7516  0.9267
H  0.4267  0.0883  0.2484
H  0.5733  0.5883  0.2516
H  0.5883  0.2516  0.5733
H  0.7030  0.7030  0.7030
H  0.7484  0.0733  0.9117
H  0.7516  0.9267  0.4117
H  0.7970  0.2970  0.2030
H  0.9117  0.7484  0.0733
H  0.9267  0.4117  0.7516

Most intense lines, 2θ from 5° to 70°, low angle first:
2theta, Rel. int.
28.26, 98.1
34.80, 48.0
40.40, 4.4
45.41, 100.0
50.03, 35.9
62.38, 5.5
66.17, 20.0
69.86, 10.1